1.
This entry pairs a crystal structure of Ca2MgAl2Si3O12 with its theoretical X-ray powder pattern. Radiation: Cu Kα (λ = 1.5418 Å). Structure: a structure optimized by DFT (PBE).

Main lines, low angle first (2θ from 10° to 90°):
two_theta, d_spacing, I/Imax, hkl
29.79, 2.999, 100, 2 0 2
30.27, 2.953, 15, 2 1 0
30.65, 2.917, 39, 1 2 2
34.98, 2.565, 14, 2 -1 2
35.12, 2.555, 40, 0 0 4
35.22, 2.549, 14, -1 2 2
35.49, 2.529, 23, 0 2 -2
35.85, 2.505, 23, 2 0 -2
42.38, 2.133, 18, 3 0 2
44.84, 2.021, 19, -2 2 2

Structure:
```
data_Ca2MgAl2Si3O12
_space_group_name_H-M_alt 'P -1'
_space_group_IT_number 2
_space_group_name_Hall '-P 1'
_cell_length_a 6.5939
_cell_length_b 6.6159
_cell_length_c 10.6500
_cell_angle_alpha 78.35
_cell_angle_beta 77.59
_cell_angle_gamma 84.05
loop_
_atom_site_label
_atom_site_type_symbol
_atom_site_fract_x
_atom_site_fract_y
_atom_site_fract_z
Ca1 Ca 0.1906 0.3093 0.3768
Ca2 Ca 0.1969 0.3003 0.8714
Mg1 Mg 0.4045 0.0941 0.1255
Al1 Al 0.3132 0.6125 0.6091
Al2 Al 0.4095 0.0878 0.6213
Si1 Si 0.1152 0.8105 0.3629
Si2 Si 0.1205 0.8034 0.8614
Si3 Si 0.3079 0.6237 0.1136
O1 O 0.1109 0.1057 0.0866
O2 O 0.1238 0.1007 0.5935
O3 O 0.1238 0.6808 0.2418
O4 O 0.1249 0.6561 0.7532
O5 O 0.1579 0.6304 0.4886
O6 O 0.1737 0.6329 0.9956
O7 O 0.2996 0.9731 0.3235
O8 O 0.3047 0.9688 0.8065
O9 O 0.3876 0.3891 0.1649
O10 O 0.3914 0.3533 0.6554
O11 O 0.4768 0.7983 0.0694
O12 O 0.4795 0.8204 0.5634
```


2.
This entry pairs a crystal structure of Ca6Mg5Al2Si11O36 with its theoretical X-ray powder pattern. Radiation: Cu Kα (λ = 1.5418 Å). Structure: a structure optimized by DFT (PBE).

Main lines, low angle first (2θ from 10° to 90°):
two_theta, d_spacing, I/Imax, hkl
27.45, 3.250, 25, 2 0 0
29.62, 3.016, 100, 0 2 3
30.03, 2.975, 28, 1 2 0
30.54, 2.927, 38, 2 1 3
34.81, 2.577, 26, 2 -1 3
35.10, 2.557, 41, 0 0 6
35.45, 2.532, 42, 0 2 -3
42.07, 2.148, 20, 3 0 3
44.23, 2.048, 20, 2 -2 3
65.12, 1.432, 22, 4 1 -3

Structure:
```
data_Ca6Mg5Al2Si11O36
_space_group_name_H-M_alt 'P 1'
_space_group_IT_number 1
_space_group_name_Hall 'P 1'
_cell_length_a 6.6505
_cell_length_b 6.6548
_cell_length_c 15.9713
_cell_angle_alpha 78.01
_cell_angle_beta 78.21
_cell_angle_gamma 84.43
loop_
_atom_site_label
_atom_site_type_symbol
_atom_site_fract_x
_atom_site_fract_y
_atom_site_fract_z
Ca1 Ca 0.0000 0.0000 0.0000
Ca2 Ca 0.0008 0.9974 0.6683
Ca3 Ca 0.5967 0.3935 0.5002
Ca4 Ca 0.6004 0.3894 0.8349
Ca5 Ca 0.6027 0.3981 0.1648
Ca6 Ca 0.9982 0.9966 0.3329
Mg1 Mg 0.2063 0.7889 0.4997
Mg2 Mg 0.2082 0.7869 0.1664
Mg3 Mg 0.3916 0.6041 0.3328
Mg4 Mg 0.3918 0.6039 0.9979
Mg5 Mg 0.3933 0.6010 0.6662
Al1 Al 0.2143 0.7876 0.8321
Al2 Al 0.6895 0.8831 0.8412
Si1 Si 0.1064 0.3160 0.4940
Si2 Si 0.1079 0.3176 0.1601
Si3 Si 0.1113 0.3116 0.8255
Si4 Si 0.4923 0.0765 0.3387
Si5 Si 0.4943 0.0755 0.0071
Si6 Si 0.4977 0.0760 0.6750
Si7 Si 0.6775 0.8891 0.5056
Si8 Si 0.6795 0.8902 0.1733
Si9 Si 0.9194 0.5032 0.3273
Si10 Si 0.9210 0.5039 0.6602
Si11 Si 0.9244 0.5042 0.9902
O1 O 0.0953 0.6686 0.2970
O2 O 0.0970 0.6690 0.6303
O3 O 0.0999 0.6735 0.9564
O4 O 0.1822 0.0821 0.1904
O5 O 0.1878 0.0826 0.5251
O6 O 0.1920 0.0736 0.8538
O7 O 0.2713 0.4929 0.4631
O8 O 0.2709 0.4955 0.7985
O9 O 0.2743 0.4927 0.1299
O10 O 0.3268 0.9004 0.3687
O11 O 0.3297 0.8963 0.0368
O12 O 0.3320 0.8933 0.7101
O13 O 0.4002 0.3058 0.9767
O14 O 0.4031 0.3051 0.6430
O15 O 0.4130 0.3100 0.3066
O16 O 0.4789 0.7241 0.8662
O17 O 0.5025 0.7226 0.5361
O18 O 0.5043 0.7236 0.2025
O19 O 0.6260 0.0726 0.0880
O20 O 0.6297 0.0666 0.4172
O21 O 0.6467 0.0722 0.7457
O22 O 0.6623 0.0290 0.5832
O23 O 0.6726 0.0260 0.2519
O24 O 0.6772 0.0325 0.9237
O25 O 0.6856 0.5825 0.3582
O26 O 0.6870 0.5819 0.6920
O27 O 0.6890 0.5819 0.0178
O28 O 0.9121 0.8081 0.1401
O29 O 0.9117 0.8104 0.4751
O30 O 0.9313 0.3655 0.2486
O31 O 0.9305 0.3656 0.5821
O32 O 0.9417 0.3554 0.9155
O33 O 0.9488 0.8051 0.8089
O34 O 0.9674 0.3259 0.4158
O35 O 0.9686 0.3362 0.0812
O36 O 0.9718 0.3272 0.7485
```


3.
This entry pairs a crystal structure of Ca2MgAl2Si3O14 with its theoretical X-ray powder pattern. Radiation: Cu Kα (λ = 1.5418 Å). Structure: a structure optimized by DFT (PBE).

Main lines, low angle first (2θ from 10° to 90°):
two_theta, d_spacing, I/Imax, hkl
18.84, 4.710, 48, 1 1 1
23.21, 3.833, 40, 2 0 2
29.92, 2.986, 32, 0 2 0
30.00, 2.979, 100, 5 1 1
31.96, 2.801, 25, 6 0 -2
33.93, 2.642, 33, 1 1 -3
35.16, 2.552, 35, 4 2 0
39.69, 2.271, 27, 8 0 -2
57.10, 1.613, 41, 4 2 4
62.21, 1.492, 31, 0 4 0

Structure:
```
data_Ca2MgAl2Si3O14
_space_group_name_H-M_alt 'C 1 2/m 1'
_space_group_IT_number 12
_space_group_name_Hall '-C 2y'
_cell_length_a 19.8491
_cell_length_b 5.9694
_cell_length_c 8.8427
_cell_angle_alpha 90.00
_cell_angle_beta 97.14
_cell_angle_gamma 90.00
loop_
_atom_site_label
_atom_site_type_symbol
_atom_site_fract_x
_atom_site_fract_y
_atom_site_fract_z
Ca1 Ca 0.1540 0.0000 0.1802
Ca2 Ca 0.1575 0.5000 0.7527
Mg1 Mg 0.2500 0.2500 0.5000
Al1 Al 0.0039 0.2438 0.7445
Si1 Si 0.0874 0.5000 0.0534
Si2 Si 0.0971 0.0000 0.5312
Si3 Si 0.2446 0.5000 0.1575
O1 O 0.0283 0.5000 0.3681
O2 O 0.0420 0.0000 0.8623
O3 O 0.0432 0.0000 0.3728
O4 O 0.0538 0.5000 0.8721
O5 O 0.0693 0.2756 0.1441
O6 O 0.0812 0.2161 0.6412
O7 O 0.1704 0.5000 0.0382
O8 O 0.1725 0.0000 0.4759
O9 O 0.1858 0.5000 0.5148
O10 O 0.1936 0.0000 0.9463
O11 O 0.2453 0.2655 0.2550
```